# 1
Starting from a cell relaxed with PBE+U, the X-ray powder pattern of Bi2Te2WO10 was calculated for CuKα.
Neutral-atom scattering factors, no anomalous dispersion.

Peak list (10 most intense, 15 to 90 degrees two-theta, by angle)
- hkl 3 1 -1, 27.08 deg, I 100
- hkl 1 1 3, 27.57 deg, I 97
- hkl 0 2 0, 31.34 deg, I 26
- hkl 2 0 -4, 31.69 deg, I 29
- hkl 4 0 2, 31.94 deg, I 27
- hkl 2 2 -4, 45.17 deg, I 24
- hkl 4 2 2, 45.36 deg, I 23
- hkl 5 1 -5, 53.41 deg, I 18
- hkl 1 1 -7, 54.24 deg, I 15
- hkl 5 1 5, 54.57 deg, I 16

Atomic structure:
a = 12.6864 Å, b = 5.7077 Å, c = 12.4814 Å
α = 90.00°, β = 91.24°, γ = 90.00°
Space group C2/c (No. 15)
Asymmetric unit:
1 Bi 0.0910 0.2419 0.0433 (multiplicity 8)
2 Te 0.1907 0.2669 0.3591 (multiplicity 8)
3 W 0.0000 0.1765 0.7500 (multiplicity 4)
4 O 0.0008 0.0925 0.9010 (multiplicity 8)
5 O 0.0752 0.3958 0.4386 (multiplicity 8)
6 O 0.1109 0.3765 0.7440 (multiplicity 8)
7 O 0.1148 0.1128 0.2448 (multiplicity 8)
8 O 0.2171 0.0003 0.4512 (multiplicity 8)

---

# 2
Starting from a cell relaxed with PBE+U, the X-ray powder pattern of TlBiW2O8 was calculated for CuKα.
Neutral-atom scattering factors, no anomalous dispersion.

Peak list (10 most intense, 15 to 90 degrees two-theta, by angle)
- hkl 2 2 0, 26.69 deg, I 100
- hkl 3 1 -2, 27.68 deg, I 17
- hkl 2 2 -2, 28.76 deg, I 71
- hkl 0 0 2, 30.95 deg, I 31
- hkl 4 0 -2, 32.74 deg, I 30
- hkl 3 1 0, 32.92 deg, I 16
- hkl 0 4 2, 45.68 deg, I 14
- hkl 3 5 -2, 49.68 deg, I 14
- hkl 3 5 0, 53.07 deg, I 14
- hkl 2 2 -4, 54.89 deg, I 17

Atomic structure:
a = 11.0118 Å, b = 10.9362 Å, c = 7.5514 Å
α = 90.00°, β = 130.07°, γ = 90.00°
Space group C2/c (No. 15)
Asymmetric unit:
1 Tl 0.0000 0.2045 0.2500 (multiplicity 4)
2 Bi 0.0000 0.2182 0.7500 (multiplicity 4)
3 W 0.1923 0.4951 0.7197 (multiplicity 8)
4 O 0.0200 0.3936 0.9709 (multiplicity 8)
5 O 0.1314 0.0813 0.6871 (multiplicity 8)
6 O 0.1875 0.4358 0.4421 (multiplicity 8)
7 O 0.2233 0.1554 0.1316 (multiplicity 8)